[1]
The following is a simulated PXRD pattern of Cs2H2S3. It was derived from a PBE-relaxed structure, using copper Kα.
Kinematic intensities with the Lorentz-polarization factor, no thermal factor.

The 10 most intense peaks (2θ = 10–80°), in order of rising 2θ:
17.75 deg, intensity 35
20.07 deg, intensity 57
20.91 deg, intensity 47
23.83 deg, intensity 29
24.44 deg, intensity 41
26.92 deg, intensity 84
27.56 deg, intensity 86
29.87 deg, intensity 100
35.95 deg, intensity 35
40.67 deg, intensity 23

Cell and atoms:
```
Cs2H2S3
1.0
5.3259 0.0000 0.0000
0.0000 4.9961 0.0000
-0.3180 0.0000 7.4682
Cs H S
2 2 3
direct
0.1925 0.0000 0.2507
0.8075 0.0000 0.7493
0.4258 0.5000 0.7147
0.5742 0.5000 0.2853
0.3322 0.5000 0.9204
0.5000 0.5000 0.5000
0.6678 0.5000 0.0796
```


[2]
The following is a simulated PXRD pattern of Ba2MgMn. It was derived from a PBE-relaxed structure, using copper Kα.
Kinematic intensities with the Lorentz-polarization factor, no thermal factor.

The 10 most intense peaks (2θ = 10–80°), in order of rising 2θ:
22.07 deg, intensity 55
26.09 deg, intensity 100
27.39 deg, intensity 82
32.58 deg, intensity 52
35.07 deg, intensity 24
36.69 deg, intensity 21
43.04 deg, intensity 15
43.23 deg, intensity 19
45.06 deg, intensity 42
51.66 deg, intensity 16

Cell and atoms:
```
Ba2MgMn
1.0
5.1175 0.0000 0.0000
0.0000 2.4495 6.5299
0.0000 -2.4495 6.5299
Ba Mg Mn
2 1 1
direct
0.0000 0.0000 0.0000
0.5000 0.2903 0.2903
0.5000 0.5874 0.5874
0.0000 0.6972 0.6972
```


[3]
The following is a simulated PXRD pattern of TbGa3Cu. It was derived from a PBE-relaxed structure, using copper Kα.
Kinematic intensities with the Lorentz-polarization factor, no thermal factor.

The 10 most intense peaks (2θ = 10–80°), in order of rising 2θ:
30.57 deg, intensity 15
33.33 deg, intensity 53
35.04 deg, intensity 100
43.79 deg, intensity 49
48.20 deg, intensity 30
56.12 deg, intensity 23
61.25 deg, intensity 11
63.65 deg, intensity 16
67.14 deg, intensity 21
74.78 deg, intensity 21

Cell and atoms:
```
TbGa3Cu
1.0
-2.0675 2.0675 5.3058
2.0675 -2.0675 5.3058
2.0675 2.0675 -5.3058
Tb Ga Cu
1 3 1
direct
0.0000 0.0000 0.0000
0.2506 0.7506 0.5000
0.5946 0.5946 0.0000
0.7506 0.2506 0.5000
0.3736 0.3736 0.0000
```


[4]
The following is a simulated PXRD pattern of SmDy4Y3. It was derived from a PBE-relaxed structure, using copper Kα.
Kinematic intensities with the Lorentz-polarization factor, no thermal factor.

The 10 most intense peaks (2θ = 10–80°), in order of rising 2θ:
28.33 deg, intensity 15
28.97 deg, intensity 32
31.02 deg, intensity 100
31.74 deg, intensity 44
32.55 deg, intensity 21
33.12 deg, intensity 49
37.50 deg, intensity 20
43.50 deg, intensity 18
56.08 deg, intensity 16
62.47 deg, intensity 27

Cell and atoms:
```
SmDy4Y3
1.0
11.7633 -1.7351 0.0000
11.7633 1.7351 0.0000
-1.9073 0.0000 6.4333
Sm Dy Y
1 4 3
direct
0.0000 0.0000 0.0000
0.2398 0.2398 0.2437
0.3749 0.3749 0.6303
0.6251 0.6251 0.3697
0.7602 0.7602 0.7563
0.3737 0.3737 0.1178
0.5000 0.5000 0.5000
0.6263 0.6263 0.8822
```


> Which formula does entry 3 have?

TbGa3Cu


> Which formula does entry 2 have?

Ba2MgMn